For La2Th8O19, a PBE-relaxed structure gives the simulated powder diffractogram in this record (Cu Kα X-rays).
Peak positions follow from Bragg's law for the DFT cell and can differ from measured ones.

Most intense lines, 10° ≤ 2θ ≤ 90°, sorted by position:
2θ (°)	intensity
27.4	100.0
31.8	24.4
45.5	32.9
45.6	16.9
53.8	14.9
54.0	31.7

Structural model:
Lattice parameters (Å, degrees): 3.9793 3.9793 28.3009 90.00 90.00 90.00
Sites, in units of the cell vectors:
La: 0.0000 0.5000 0.0571
La: 0.5000 0.0000 0.9429
Th: 0.0000 0.5000 0.2520
Th: 0.0000 0.5000 0.4504
Th: 0.0000 0.5000 0.6488
Th: 0.0000 0.5000 0.8473
Th: 0.5000 0.0000 0.1527
Th: 0.5000 0.0000 0.3512
Th: 0.5000 0.0000 0.5496
Th: 0.5000 0.0000 0.7480
O: 0.0000 0.0000 0.0988
O: 0.0000 0.0000 0.2004
O: 0.0000 0.0000 0.3007
O: 0.0000 0.0000 0.4004
O: 0.0000 0.0000 0.5000
O: 0.0000 0.0000 0.5996
O: 0.0000 0.0000 0.6993
O: 0.0000 0.0000 0.7996
O: 0.0000 0.0000 0.9012
O: 0.5000 0.5000 0.0000
O: 0.5000 0.5000 0.1072
O: 0.5000 0.5000 0.2044
O: 0.5000 0.5000 0.3025
O: 0.5000 0.5000 0.4011
O: 0.5000 0.5000 0.5000
O: 0.5000 0.5000 0.5989
O: 0.5000 0.5000 0.6975
O: 0.5000 0.5000 0.7956
O: 0.5000 0.5000 0.8928

---

For Mn2CuBr5, a PBE-relaxed structure gives the simulated powder diffractogram in this record (Cu Kα X-rays).
Peak positions follow from Bragg's law for the DFT cell and can differ from measured ones.

Most intense lines, 10° ≤ 2θ ≤ 90°, sorted by position:
2θ (°)	intensity
16.7	100.0
26.5	41.9
27.0	39.5
29.6	27.7
45.6	26.4
46.4	33.6

Structural model:
Lattice parameters (Å, degrees): 7.1501 7.1501 6.6989 111.13 111.13 66.75
Sites, in units of the cell vectors:
Mn: 0.2133 0.7867 0.0000
Mn: 0.7867 0.2133 0.0000
Cu: 0.1738 0.1738 0.4668
Br: 0.0919 0.0919 0.8202
Br: 0.4259 0.4259 0.7969
Br: 0.4360 0.8685 0.3819
Br: 0.8390 0.8390 0.9989
Br: 0.8685 0.4360 0.3819